For Li4AcPb2, a PBE-relaxed structure gives the simulated X-ray powder pattern in this record (Cu Kα X-rays).

Crystal structure
```
Li4AcPb2
1.0
2.418 1.396 8.566
-2.418 1.396 8.566
0.000 -2.792 8.566
Li Ac Pb
4 1 2
Direct
0.063 0.063 0.063
0.361 0.361 0.361
0.639 0.639 0.639
0.937 0.937 0.937
0.500 0.500 0.500
0.249 0.249 0.249
0.751 0.751 0.751
```

Most intense lines, 5° ≤ 2θ ≤ 70°, by angle:
d = 8.566 Å, intensity 30
d = 4.133 Å, intensity 18
d = 3.982 Å, intensity 12
d = 3.508 Å, intensity 100
d = 2.761 Å, intensity 10
d = 2.549 Å, intensity 45
d = 2.418 Å, intensity 42
d = 1.991 Å, intensity 22
d = 1.754 Å, intensity 15
d = 1.603 Å, intensity 22
d = 1.537 Å, intensity 19
d = 1.420 Å, intensity 15